1.
# K5Eu2Si4O13F
Computed X-ray powder pattern, a wavelength of 1.5418 Å. Input: a structure optimized by DFT (PBE).

Top 12 peaks for 10° ≤ 2θ ≤ 80°, low angle first:
- 12.16°, d 7.278, I = 33
- 15.71°, d 5.639, I = 49
- 19.16°, d 4.632, I = 40
- 19.78°, d 4.487, I = 78
- 24.38°, d 3.650, I = 44
- 26.00°, d 3.428, I = 27
- 29.33°, d 3.045, I = 52
- 30.11°, d 2.968, I = 60
- 30.65°, d 2.917, I = 100
- 31.87°, d 2.808, I = 27
- 32.67°, d 2.741, I = 25
- 40.19°, d 2.244, I = 52

Structure:
```
K5Eu2Si4O13F
1.0
7.282 0.000 0.000
0.000 5.936 0.000
-0.641 0.000 18.529
K Eu Si O F
10 4 8 26 2
direct
0.020 0.250 0.248 K
0.236 0.750 0.989 K
0.292 0.250 0.684 K
0.302 0.250 0.493 K
0.366 0.750 0.194 K
0.634 0.250 0.806 K
0.698 0.750 0.507 K
0.708 0.750 0.316 K
0.764 0.250 0.011 K
0.980 0.750 0.752 K
0.100 0.250 0.870 Eu
0.169 0.750 0.390 Eu
0.831 0.250 0.610 Eu
0.900 0.750 0.130 Eu
0.169 0.750 0.584 Si
0.216 0.250 0.077 Si
0.420 0.750 0.830 Si
0.463 0.250 0.327 Si
0.537 0.750 0.673 Si
0.580 0.250 0.170 Si
0.784 0.750 0.923 Si
0.831 0.250 0.416 Si
0.050 0.519 0.592 O
0.050 0.981 0.592 O
0.129 0.021 0.111 O
0.129 0.479 0.111 O
0.191 0.250 0.989 O
0.285 0.750 0.510 O
0.299 0.521 0.826 O
0.299 0.979 0.826 O
0.311 0.750 0.658 O
0.378 0.018 0.357 O
0.378 0.482 0.357 O
0.431 0.250 0.237 O
0.445 0.250 0.095 O
0.555 0.750 0.905 O
0.569 0.750 0.763 O
0.622 0.518 0.643 O
0.622 0.982 0.643 O
0.689 0.250 0.342 O
0.701 0.021 0.174 O
0.701 0.479 0.174 O
0.715 0.250 0.490 O
0.809 0.750 0.011 O
0.871 0.521 0.889 O
0.871 0.979 0.889 O
0.950 0.019 0.408 O
0.950 0.481 0.408 O
0.043 0.750 0.259 F
0.957 0.250 0.741 F
```

***

2.
# NaEuTiNbO6F
Computed X-ray powder pattern, a wavelength of 1.5418 Å. Input: a structure optimized by DFT (PBE).

Top 12 peaks for 10° ≤ 2θ ≤ 80°, low angle first:
- 17.10°, d 5.184, I = 55
- 23.51°, d 3.784, I = 24
- 24.66°, d 3.611, I = 22
- 29.22°, d 3.057, I = 100
- 30.16°, d 2.963, I = 92
- 34.33°, d 2.612, I = 32
- 38.59°, d 2.333, I = 28
- 48.09°, d 1.892, I = 16
- 49.54°, d 1.840, I = 63
- 50.57°, d 1.805, I = 17
- 57.82°, d 1.595, I = 28
- 59.46°, d 1.554, I = 25

Structure:
```
NaEuTiNbO6F
1.0
-3.611 3.784 5.184
3.611 -3.784 5.184
3.611 3.784 -5.184
Na Eu Ti Nb O F
2 2 2 2 12 2
direct
0.500 0.000 0.000 Na
0.500 0.500 0.500 Na
0.000 0.000 0.000 Eu
0.500 0.000 0.500 Eu
0.000 0.000 0.500 Ti
0.000 0.500 0.000 Ti
0.000 0.500 0.500 Nb
0.500 0.500 0.000 Nb
0.062 0.418 0.235 O
0.062 0.828 0.644 O
0.075 0.825 0.250 O
0.316 0.172 0.735 O
0.316 0.582 0.144 O
0.317 0.567 0.750 O
0.683 0.433 0.250 O
0.684 0.418 0.856 O
0.684 0.828 0.265 O
0.925 0.175 0.750 O
0.938 0.172 0.356 O
0.938 0.582 0.765 O
0.377 0.127 0.250 F
0.623 0.873 0.750 F
```